Starting from a cell relaxed with GGA-PBE, the X-ray diffraction stick pattern of Ho6As3PbSe2 was simulated for copper Kα.

Structure:
abc: 18.1037 4.0997 8.3872
angles: 90.00 103.50 90.00
Space group C2/m (No. 12)
Inequivalent atoms, fractional coordinates:
Ho 0.0010 0.0000 0.2347 x4
Ho 0.1647 0.5000 0.0910 x4
Ho 0.1720 0.5000 0.5790 x4
As 0.0000 0.5000 0.0000 x2
As 0.1669 0.0000 0.3316 x4
Pb 0.0000 0.5000 0.5000 x2
Se 0.1691 0.0000 0.8383 x4

Most intense lines, 2θ from 15° to 90°, low angle first:
- 2θ = 30.48°, I = 100, hkl 6 0 0
- 2θ = 43.14°, I = 12, hkl 2 0 -4
- 2θ = 43.65°, I = 50, hkl 5 1 2
- 2θ = 44.18°, I = 12, hkl 0 2 0
- 2θ = 53.78°, I = 7, hkl 4 0 4
- 2θ = 54.62°, I = 13, hkl 6 2 0
- 2θ = 63.46°, I = 8, hkl 2 2 -4
- 2θ = 71.98°, I = 16, hkl 11 1 2

Starting from a cell relaxed with GGA-PBE, the X-ray diffraction stick pattern of Ho3As4Pd7 was simulated for copper Kα.

Structure:
abc: 15.6884 4.1228 9.6081
angles: 90.00 125.82 90.00
Space group C2/m (No. 12)
Inequivalent atoms, fractional coordinates:
Ho 0.0000 0.0000 0.0000 x2
Ho 0.1786 0.5000 0.6733 x4
As 0.1059 0.0000 0.8229 x4
As 0.1585 0.5000 0.2505 x4
Pd 0.0000 0.0000 0.5000 x2
Pd 0.0128 0.5000 0.2955 x4
Pd 0.1668 0.0000 0.4283 x4
Pd 0.1938 0.5000 0.0255 x4

Most intense lines, 2θ from 15° to 90°, low angle first:
- 2θ = 35.28°, I = 100, hkl 1 1 2
- 2θ = 35.51°, I = 35, hkl 3 1 -3
- 2θ = 36.05°, I = 81, hkl 5 1 -2
- 2θ = 36.65°, I = 26, hkl 3 1 1
- 2θ = 37.46°, I = 27, hkl 4 0 -4
- 2θ = 38.67°, I = 29, hkl 5 1 -3
- 2θ = 42.64°, I = 34, hkl 6 0 0
- 2θ = 43.94°, I = 72, hkl 0 2 0

Starting from a cell relaxed with GGA-PBE, the X-ray diffraction stick pattern of HoAs4Pd12 was simulated for copper Kα.

Structure:
abc: 8.5613 8.5613 8.5613
angles: 90.00 90.00 90.00
Space group Im-3 (No. 204)
Inequivalent atoms, fractional coordinates:
Ho 0.0000 0.0000 0.0000 x2
As 0.2500 0.2500 0.2500 x8
Pd 0.0000 0.1617 0.3397 x24

Most intense lines, 2θ from 15° to 90°, low angle first:
- 2θ = 33.09°, I = 100, hkl 3 1 0
- 2θ = 39.38°, I = 49, hkl 3 2 1
- 2θ = 47.49°, I = 14, hkl 4 2 0
- 2θ = 52.35°, I = 28, hkl 4 2 2
- 2θ = 54.66°, I = 26, hkl 4 1 3
- 2θ = 63.34°, I = 12, hkl 5 0 3
- 2θ = 65.41°, I = 9, hkl 6 0 0
- 2θ = 75.28°, I = 17, hkl 6 3 1

Starting from a cell relaxed with GGA-PBE, the X-ray diffraction stick pattern of HoAsPd4 was simulated for copper Kα.

Structure:
abc: 5.3677 5.3677 8.6806
angles: 90.00 90.00 90.00
Space group P4_2/nmc (No. 137, origin choice 2)
Inequivalent atoms, fractional coordinates:
Ho 0.2500 0.7500 0.2500 x2
As 0.2500 0.7500 0.7500 x2
Pd 0.0126 0.2500 0.0316 x8

Most intense lines, 2θ from 15° to 90°, low angle first:
- 2θ = 23.44°, I = 33, hkl 1 1 0
- 2θ = 31.31°, I = 56, hkl 1 1 2
- 2θ = 34.99°, I = 100, hkl 2 0 1
- 2θ = 35.24°, I = 21, hkl 1 0 3
- 2θ = 39.48°, I = 23, hkl 2 0 2
- 2θ = 41.62°, I = 26, hkl 0 0 4
- 2θ = 46.13°, I = 32, hkl 2 0 3
- 2θ = 52.64°, I = 70, hkl 2 2 2

Starting from a cell relaxed with GGA-PBE, the X-ray diffraction stick pattern of Ho3As2Pd2Rh5 was simulated for copper Kα.

Structure:
abc: 4.0367 4.0367 26.3953
angles: 90.00 90.00 90.00
Space group I4/mmm (No. 139)
Inequivalent atoms, fractional coordinates:
Ho 0.0000 0.0000 0.0000 x2
Ho 0.0000 0.0000 0.1665 x4
As 0.0000 0.0000 0.3693 x4
Pd 0.0000 0.0000 0.2749 x4
Rh 0.0000 0.0000 0.5000 x2
Rh 0.0000 0.5000 0.0792 x8

Most intense lines, 2θ from 15° to 90°, low angle first:
- 2θ = 31.34°, I = 28, hkl 1 1 0
- 2θ = 37.56°, I = 100, hkl 1 1 6
- 2θ = 37.92°, I = 35, hkl 1 0 9
- 2θ = 41.85°, I = 32, hkl 1 1 8
- 2θ = 43.89°, I = 25, hkl 1 0 11
- 2θ = 44.91°, I = 69, hkl 2 0 0
- 2θ = 65.39°, I = 22, hkl 2 2 0
- 2θ = 77.93°, I = 24, hkl 3 1 6

Starting from a cell relaxed with GGA-PBE, the X-ray diffraction stick pattern of PmHo3As4 was simulated for copper Kα.

Structure:
abc: 5.8468 5.8468 5.8468
angles: 90.00 90.00 90.00
Space group Pm-3m (No. 221)
Inequivalent atoms, fractional coordinates:
Pm 0.0000 0.0000 0.0000 x1
Ho 0.0000 0.5000 0.5000 x3
As 0.0000 0.0000 0.5000 x3
As 0.5000 0.5000 0.5000 x1

Most intense lines, 2θ from 15° to 90°, low angle first:
- 2θ = 26.40°, I = 23, hkl 1 1 1
- 2θ = 30.58°, I = 100, hkl 2 0 0
- 2θ = 43.79°, I = 75, hkl 2 2 0
- 2θ = 51.86°, I = 11, hkl 3 1 1
- 2θ = 54.36°, I = 26, hkl 2 2 2
- 2θ = 63.66°, I = 12, hkl 4 0 0
- 2θ = 72.27°, I = 34, hkl 4 2 0
- 2θ = 80.47°, I = 25, hkl 4 2 2

Starting from a cell relaxed with GGA-PBE, the X-ray diffraction stick pattern of PmSm2Ho3As6 was simulated for copper Kα.

Structure:
abc: 18.1331 4.1638 8.3190
angles: 90.00 103.21 90.00
Space group C2/m (No. 12)
Inequivalent atoms, fractional coordinates:
Pm 0.0000 0.0000 0.0000 x2
Sm 0.1668 0.5000 0.3334 x4
Ho 0.0000 0.0000 0.5000 x2
Ho 0.1666 0.5000 0.8330 x4
As 0.0015 0.5000 0.7450 x4
As 0.1651 0.0000 0.5871 x4
As 0.1686 0.0000 0.0794 x4

Most intense lines, 2θ from 15° to 90°, low angle first:
- 2θ = 26.23°, I = 22, hkl 4 0 -2
- 2θ = 30.38°, I = 100, hkl 6 0 0
- 2θ = 43.49°, I = 75, hkl 5 1 2
- 2θ = 51.50°, I = 11, hkl 10 0 -2
- 2θ = 53.97°, I = 26, hkl 6 2 0
- 2θ = 63.20°, I = 12, hkl 12 0 0
- 2θ = 71.72°, I = 34, hkl 11 1 2
- 2θ = 79.82°, I = 19, hkl 10 0 4

Starting from a cell relaxed with GGA-PBE, the X-ray diffraction stick pattern of Pm3Y2HoAs6 was simulated for copper Kα.

Structure:
abc: 18.2028 4.1800 8.3506
angles: 90.00 103.20 90.00
Space group C2/m (No. 12)
Inequivalent atoms, fractional coordinates:
Pm 0.0000 0.0000 0.0000 x2
Pm 0.1668 0.5000 0.3333 x4
Y 0.1665 0.5000 0.8330 x4
Ho 0.0000 0.0000 0.5000 x2
As 0.0014 0.5000 0.7449 x4
As 0.1647 0.0000 0.5866 x4
As 0.1681 0.0000 0.0794 x4

Most intense lines, 2θ from 15° to 90°, low angle first:
- 2θ = 26.13°, I = 13, hkl 4 0 -2
- 2θ = 30.26°, I = 100, hkl 6 0 0
- 2θ = 43.32°, I = 74, hkl 5 1 2
- 2θ = 51.29°, I = 6, hkl 10 0 -2
- 2θ = 53.75°, I = 26, hkl 6 2 0
- 2θ = 62.93°, I = 12, hkl 12 0 0
- 2θ = 71.40°, I = 33, hkl 11 1 2
- 2θ = 79.45°, I = 19, hkl 10 0 4

Starting from a cell relaxed with GGA-PBE, the X-ray diffraction stick pattern of PrHo2PuAs4 was simulated for copper Kα.

Structure:
abc: 7.1972 4.1690 7.2095
angles: 90.00 109.49 90.00
Space group P2/m (No. 10)
Inequivalent atoms, fractional coordinates:
Pr 0.0000 0.0000 0.0000 x1
Ho 0.5000 0.0000 0.5000 x1
Ho 0.5000 0.5000 0.0000 x1
Pu 0.0000 0.5000 0.5000 x1
As 0.2541 0.0000 0.7454 x2
As 0.2586 0.5000 0.2588 x2

Most intense lines, 2θ from 15° to 90°, low angle first:
- 2θ = 26.22°, I = 28, hkl 2 0 0
- 2θ = 30.37°, I = 100, hkl 1 1 1
- 2θ = 43.45°, I = 38, hkl 0 2 0
- 2θ = 43.53°, I = 37, hkl 3 1 -1
- 2θ = 53.93°, I = 20, hkl 2 2 -2
- 2θ = 63.19°, I = 12, hkl 2 2 2
- 2θ = 71.62°, I = 11, hkl 1 3 1
- 2θ = 71.75°, I = 23, hkl 4 2 0

Starting from a cell relaxed with GGA-PBE, the X-ray diffraction stick pattern of Ho2PuAs was simulated for copper Kα.

Structure:
abc: 3.7333 3.7333 30.6897
angles: 90.00 90.00 120.00
Space group R-3m (No. 166, hexagonal axes)
Inequivalent atoms, fractional coordinates:
Ho 0.0000 0.0000 0.1098 x6
Pu 0.0000 0.0000 0.0000 x3
As 0.0000 0.0000 0.5000 x3

Most intense lines, 2θ from 15° to 90°, low angle first:
- 2θ = 26.13°, I = 54, hkl 0 0 9
- 2θ = 27.75°, I = 100, hkl 1 0 1
- 2θ = 28.21°, I = 81, hkl 0 1 2
- 2θ = 36.34°, I = 89, hkl 0 1 8
- 2θ = 40.53°, I = 74, hkl 1 0 10
- 2θ = 48.79°, I = 53, hkl 1 1 0
- 2θ = 56.18°, I = 41, hkl 1 1 9
- 2θ = 75.52°, I = 29, hkl 1 1 18

Starting from a cell relaxed with GGA-PBE, the X-ray diffraction stick pattern of HoPuZr2As4 was simulated for copper Kα.

Structure:
abc: 6.8747 3.9749 6.9417
angles: 90.00 109.26 90.00
Space group P2/m (No. 10)
Inequivalent atoms, fractional coordinates:
Ho 0.0000 0.0000 0.0000 x1
Pu 0.5000 0.5000 0.0000 x1
Zr 0.0000 0.5000 0.5000 x1
Zr 0.5000 0.0000 0.5000 x1
As 0.2450 0.0000 0.7369 x2
As 0.2535 0.5000 0.2626 x2

Most intense lines, 2θ from 15° to 90°, low angle first:
- 2θ = 27.47°, I = 13, hkl 2 0 0
- 2θ = 31.75°, I = 100, hkl 1 1 1
- 2θ = 45.35°, I = 37, hkl 2 0 2
- 2θ = 45.68°, I = 37, hkl 0 2 0
- 2θ = 56.70°, I = 19, hkl 4 0 0
- 2θ = 66.34°, I = 12, hkl 2 2 2
- 2θ = 75.18°, I = 16, hkl 3 1 3
- 2θ = 84.26°, I = 12, hkl 5 1 1

Starting from a cell relaxed with GGA-PBE, the X-ray diffraction stick pattern of Ho3As5Rh6 was simulated for copper Kα.

Structure:
abc: 3.9895 12.6637 9.7266
angles: 90.00 90.00 90.00
Space group Pmmn (No. 59, origin choice 2)
Inequivalent atoms, fractional coordinates:
Ho 0.2500 0.0877 0.2443 x4
Ho 0.2500 0.7500 0.2633 x2
As 0.2500 0.0801 0.8437 x4
As 0.2500 0.6315 0.5361 x4
As 0.2500 0.7500 0.8520 x2
Rh 0.2500 0.0543 0.5963 x4
Rh 0.2500 0.2500 0.4837 x2
Rh 0.2500 0.2500 0.9873 x2
Rh 0.2500 0.5828 0.0084 x4

Most intense lines, 2θ from 15° to 90°, low angle first:
- 2θ = 34.89°, I = 26, hkl 0 3 3
- 2θ = 35.68°, I = 33, hkl 1 0 3
- 2θ = 36.06°, I = 100, hkl 1 3 2
- 2θ = 42.85°, I = 23, hkl 0 6 0
- 2θ = 45.47°, I = 31, hkl 2 0 0
- 2θ = 58.57°, I = 12, hkl 2 3 3
- 2θ = 64.24°, I = 14, hkl 2 6 0
- 2θ = 77.81°, I = 15, hkl 3 3 2

Starting from a cell relaxed with GGA-PBE, the X-ray diffraction stick pattern of Ho3As2Rh6 was simulated for copper Kα.

Structure:
abc: 9.2497 9.2497 9.2497
angles: 90.00 90.00 90.00
Space group Im-3m (No. 229)
Inequivalent atoms, fractional coordinates:
Ho 0.0000 0.0000 0.2822 x12
As 0.2500 0.2500 0.2500 x8
Rh 0.0000 0.3464 0.3464 x24

Most intense lines, 2θ from 15° to 90°, low angle first:
- 2θ = 30.56°, I = 15, hkl 3 1 0
- 2θ = 33.56°, I = 30, hkl 2 2 2
- 2θ = 36.34°, I = 29, hkl 3 2 1
- 2θ = 38.95°, I = 13, hkl 4 0 0
- 2θ = 41.42°, I = 100, hkl 3 3 0
- 2θ = 67.13°, I = 17, hkl 6 2 2
- 2θ = 75.54°, I = 22, hkl 6 3 3
- 2θ = 85.24°, I = 16, hkl 7 4 1